Tl2Cu3HgBr8: computed powder X-ray diffraction pattern (Cu Ka), based on the PBE geometry in Alexandria.
Neutral-atom scattering factors, no anomalous dispersion.

Structure:
```
data_Tl2Cu3HgBr8
_chemical_formula_sum 'Tl2 Cu3 Hg1 Br8'
_space_group_name_H-M_alt 'P 1'
_space_group_IT_number 1
_space_group_name_Hall 'P 1'
_cell_length_a 9.5459
_cell_length_b 9.5459
_cell_length_c 9.5459
_cell_angle_alpha 49.83
_cell_angle_beta 49.83
_cell_angle_gamma 49.83
loop_
_atom_site_label
_atom_site_type_symbol
_atom_site_fract_x
_atom_site_fract_y
_atom_site_fract_z
_atom_site_occupancy
Tl1 Tl 0.0000 0.0000 0.0000 1
Tl2 Tl 0.3589 0.3589 0.3589 1
Cu1 Cu 0.0140 0.0140 0.4514 1
Cu2 Cu 0.0140 0.4514 0.0140 1
Cu3 Cu 0.4514 0.0140 0.0140 1
Hg1 Hg 0.5705 0.5705 0.5705 1
Br1 Br 0.1598 0.7214 0.7214 1
Br2 Br 0.2237 0.2237 0.2237 1
Br3 Br 0.2471 0.2471 0.7975 1
Br4 Br 0.2471 0.7975 0.2471 1
Br5 Br 0.6739 0.6739 0.6739 1
Br6 Br 0.7214 0.1598 0.7214 1
Br7 Br 0.7214 0.7214 0.1598 1
Br8 Br 0.7975 0.2471 0.2471 1
```

Top 6 peaks for 15° ≤ 2θ ≤ 90°, by intensity:
2θ = 24.6°, I = 100; 2θ = 22.1°, I = 68; 2θ = 45.1°, I = 63; 2θ = 39.4°, I = 47; 2θ = 31.3°, I = 46; 2θ = 40.3°, I = 36